For MnV2TeO7, a PBE+U-relaxed structure gives the computed powder XRD pattern in this record (Cu Kα (weighted mean of Kα1 and Kα2)).
No peak broadening, texture or thermal motion is included.

Structure:
abc: 6.7933 7.0143 8.0251
angles: 94.40 113.53 114.59
Fractional coordinates of all 22 atoms:
Mn 0.0605 0.4361 0.3236
Mn 0.9395 0.5639 0.6764
V 0.0078 0.0666 0.8279
V 0.4742 0.6130 0.8330
V 0.5258 0.3870 0.1670
V 0.9922 0.9334 0.1721
Te 0.4423 0.8066 0.2099
Te 0.5577 0.1934 0.7901
O 0.0512 0.1335 0.3455
O 0.1567 0.7588 0.2474
O 0.2350 0.0915 0.0852
O 0.2495 0.5939 0.6187
O 0.2852 0.7215 0.9401
O 0.3233 0.3179 0.8692
O 0.3542 0.5158 0.2447
O 0.6458 0.4842 0.7553
O 0.6767 0.6821 0.1308
O 0.7148 0.2785 0.0599
O 0.7505 0.4061 0.3813
O 0.7650 0.9085 0.9148
O 0.8433 0.2412 0.7526
O 0.9488 0.8665 0.6545

Peak list (12 most intense, 10° ≤ 2θ ≤ 80°, low angle first)
Position (°2θ)  I_rel  hkl
12.58  60  0 0 1
21.88  45  0 1 1
22.27  31  1 -1 1
23.87  54  1 1 -1
25.02  36  1 0 1
25.30  100  0 0 2
25.56  35  1 -2 0
28.29  76  0 2 -1
30.54  57  2 0 -2
31.32  52  -2 2 1
32.95  35  2 0 0
36.82  33  2 -2 1